1.
Simulated X-ray diffraction stick pattern of PmPr2Ho12 for Cu Kα, 1.54184 Å, from DFT lattice parameters and positions (GGA-PBE).

Crystal structure
Cell: 6.659 6.659 24.839 Å, 90.00 90.00 116.06°
Atoms (fractional coordinates):
Pm: 0.250 0.750 0.000
Pm: 0.750 0.250 0.000
Pr: 0.250 0.750 0.269
Pr: 0.250 0.750 0.732
Pr: 0.750 0.250 0.268
Pr: 0.750 0.250 0.731
Ho: 0.000 0.000 0.079
Ho: 0.000 0.000 0.921
Ho: 0.000 0.500 0.127
Ho: 0.000 0.500 0.416
Ho: 0.000 0.500 0.584
Ho: 0.000 0.500 0.873
Ho: 0.001 0.999 0.438
Ho: 0.250 0.250 0.199
Ho: 0.250 0.250 0.328
Ho: 0.250 0.250 0.672
Ho: 0.250 0.250 0.801
Ho: 0.499 0.501 0.438
Ho: 0.500 0.000 0.127
Ho: 0.500 0.000 0.416
Ho: 0.500 0.000 0.584
Ho: 0.500 0.000 0.873
Ho: 0.500 0.500 0.079
Ho: 0.500 0.500 0.921
Ho: 0.501 0.499 0.562
Ho: 0.750 0.750 0.199
Ho: 0.750 0.750 0.328
Ho: 0.750 0.750 0.672
Ho: 0.750 0.750 0.801
Ho: 0.999 0.001 0.562

Top 6 peaks for 2θ from 10° to 90°, by angle:
- 29.7°, d 3.005, I = 63
- 30.7°, d 2.908, I = 98
- 31.7°, d 2.825, I = 100
- 32.9°, d 2.721, I = 75
- 33.2°, d 2.695, I = 61
- 37.1°, d 2.425, I = 68

=====

2.
Simulated X-ray diffraction stick pattern of Pm3Pr3Ho5 for Cu Kα, 1.54184 Å, from DFT lattice parameters and positions (GGA-PBE).

Crystal structure
Cell: 9.652 9.652 5.585 Å, 90.00 90.00 120.00°
Atoms (fractional coordinates):
Pm: 0.000 0.535 0.000
Pm: 0.465 0.465 0.000
Pm: 0.535 0.000 0.000
Pr: 0.000 0.366 0.500
Pr: 0.366 0.000 0.500
Pr: 0.634 0.634 0.500
Ho: 0.000 0.730 0.500
Ho: 0.270 0.270 0.500
Ho: 0.333 0.667 0.500
Ho: 0.667 0.333 0.500
Ho: 0.730 0.000 0.500

Top 6 peaks for 2θ from 10° to 90°, by angle:
- 15.9°, d 5.585, I = 67
- 26.6°, d 3.346, I = 70
- 32.1°, d 2.790, I = 100
- 32.6°, d 2.750, I = 63
- 36.0°, d 2.493, I = 95
- 59.8°, d 1.547, I = 40

=====

3.
Simulated X-ray diffraction stick pattern of Pm2Pr3Ho8 for Cu Kα, 1.54184 Å, from DFT lattice parameters and positions (GGA-PBE).

Crystal structure
Cell: 6.211 6.223 11.341 Å, 89.85 79.35 80.32°
Atoms (fractional coordinates):
Pm: 0.116 0.231 0.038
Pm: 0.884 0.769 0.962
Pr: 0.269 0.538 0.421
Pr: 0.500 0.000 0.500
Pr: 0.731 0.462 0.579
Ho: 0.037 0.075 0.343
Ho: 0.192 0.386 0.734
Ho: 0.346 0.692 0.114
Ho: 0.424 0.848 0.810
Ho: 0.576 0.152 0.190
Ho: 0.654 0.308 0.886
Ho: 0.808 0.614 0.266
Ho: 0.963 0.925 0.657

Top 6 peaks for 2θ from 10° to 90°, by angle:
- 30.5°, d 2.934, I = 34
- 30.5°, d 2.928, I = 100
- 35.4°, d 2.537, I = 68
- 50.9°, d 1.793, I = 40
- 60.4°, d 1.532, I = 14
- 60.5°, d 1.529, I = 33

=====

4.
Simulated X-ray diffraction stick pattern of PmPr2Ho7 for Cu Kα, 1.54184 Å, from DFT lattice parameters and positions (GGA-PBE).

Crystal structure
Cell: 6.169 7.146 8.001 Å, 76.92 75.12 73.61°
Atoms (fractional coordinates):
Pm: 0.000 0.000 0.000
Pr: 0.202 0.797 0.600
Pr: 0.798 0.203 0.400
Ho: 0.000 0.500 0.000
Ho: 0.199 0.301 0.601
Ho: 0.399 0.101 0.198
Ho: 0.400 0.600 0.197
Ho: 0.600 0.400 0.803
Ho: 0.601 0.899 0.802
Ho: 0.801 0.699 0.399

Top 6 peaks for 2θ from 10° to 90°, by angle:
- 30.6°, d 2.918, I = 100
- 30.7°, d 2.914, I = 33
- 35.4°, d 2.537, I = 23
- 35.5°, d 2.528, I = 23
- 35.7°, d 2.514, I = 22
- 51.1°, d 1.787, I = 24